The following is a simulated powder diffractogram of RbMg6GaO8. It was derived from a structure optimized by DFT (PBE), using copper Kα.
Kinematic intensities with the Lorentz-polarization factor, no thermal factor.

Most intense lines, 10° ≤ 2θ ≤ 80°, in order of rising 2θ:
hkl 0 0 1, 10.0°, intensity 62
hkl 0 0 2, 20.1°, intensity 18
hkl 1 1 1, 29.7°, intensity 27
hkl 1 1 2, 34.6°, intensity 51
hkl 2 0 0, 39.9°, intensity 100
hkl 0 0 4, 41.0°, intensity 43
hkl 2 2 0, 57.6°, intensity 30
hkl 2 0 4, 58.5°, intensity 54
hkl 3 1 2, 69.0°, intensity 17
hkl 2 2 4, 73.1°, intensity 26

Crystal structure
Lattice parameters (Å, degrees): 4.524 4.524 8.815 90.00 90.00 90.00
Sites, in units of the cell vectors:
Rb: 0.000 0.000 0.000
Mg: 0.000 0.000 0.500
Mg: 0.000 0.500 0.259
Mg: 0.000 0.500 0.741
Mg: 0.500 0.000 0.259
Mg: 0.500 0.000 0.741
Mg: 0.500 0.500 0.500
Ga: 0.500 0.500 0.000
O: 0.000 0.000 0.281
O: 0.000 0.000 0.719
O: 0.000 0.500 0.000
O: 0.000 0.500 0.500
O: 0.500 0.000 0.000
O: 0.500 0.000 0.500
O: 0.500 0.500 0.241
O: 0.500 0.500 0.759